# 1
Mg3AlPt2: theoretical powder diffraction line list (CuKα), based on the GGA-PBE geometry in OQMD.
Kinematic intensities with the Lorentz-polarization factor, no thermal factor.

Structure:
Cell: 8.4037 8.4037 8.4037 Å, 60.00 60.00 60.00°
Positions (direct):
Mg 0.0724 0.0724 0.6776
Mg 0.0724 0.6776 0.0724
Mg 0.0724 0.6776 0.6776
Mg 0.3224 0.3224 0.9276
Mg 0.3224 0.9276 0.3224
Mg 0.3224 0.9276 0.9276
Mg 0.6776 0.0724 0.0724
Mg 0.6776 0.0724 0.6776
Mg 0.6776 0.6776 0.0724
Mg 0.9276 0.3224 0.3224
Mg 0.9276 0.3224 0.9276
Mg 0.9276 0.9276 0.3224
Al 0.0000 0.5000 0.5000
Al 0.5000 0.0000 0.5000
Al 0.5000 0.5000 0.0000
Al 0.5000 0.5000 0.5000
Pt 0.2839 0.2839 0.2839
Pt 0.2839 0.2839 0.6483
Pt 0.2839 0.6483 0.2839
Pt 0.3517 0.7161 0.7161
Pt 0.6483 0.2839 0.2839
Pt 0.7161 0.3517 0.7161
Pt 0.7161 0.7161 0.3517
Pt 0.7161 0.7161 0.7161

The 12 most intense peaks (10 to 90 degrees two-theta), sorted by position:
2theta, d/Å, I/Imax
12.9, 6.862, 69.8
26.0, 3.431, 74.2
30.1, 2.971, 27.6
32.8, 2.727, 18.1
39.4, 2.287, 100.0
43.1, 2.101, 22.9
45.8, 1.981, 28.2
55.2, 1.664, 24.5
59.8, 1.547, 13.9
66.8, 1.401, 19.7
73.0, 1.297, 25.0
80.4, 1.194, 16.5

---

# 2
SrMgAlPt2: theoretical powder diffraction line list (CuKα), based on the GGA-PBE geometry in OQMD.
Kinematic intensities with the Lorentz-polarization factor, no thermal factor.

Structure:
Cell: 6.5022 6.5022 6.5022 Å, 141.82 141.82 55.09°
Positions (direct):
Sr 0.0000 0.0000 0.0000
Mg 0.7500 0.2500 0.5000
Al 0.2500 0.7500 0.5000
Pt 0.3805 0.3805 0.0000
Pt 0.6195 0.6195 0.0000

The 12 most intense peaks (10 to 90 degrees two-theta), sorted by position:
2theta, d/Å, I/Imax
22.3, 3.990, 78.0
29.7, 3.007, 92.4
31.4, 2.851, 100.0
33.6, 2.666, 21.8
42.5, 2.126, 55.4
43.5, 2.081, 44.9
44.7, 2.027, 56.6
48.5, 1.877, 20.8
53.8, 1.705, 44.2
61.7, 1.504, 18.5
63.4, 1.467, 40.4
70.0, 1.345, 16.6

---

# 3
Sm3Mg3AlTl2: theoretical powder diffraction line list (CuKα), based on the GGA-PBE geometry in OQMD.
Kinematic intensities with the Lorentz-polarization factor, no thermal factor.

Structure:
Cell: 7.6050 7.6050 4.6473 Å, 90.00 90.00 120.00°
Positions (direct):
Sm 0.0000 0.5760 0.0000
Sm 0.4240 0.4240 0.0000
Sm 0.5760 0.0000 0.0000
Mg 0.0000 0.2359 0.5000
Mg 0.2359 0.0000 0.5000
Mg 0.7641 0.7641 0.5000
Al 0.0000 0.0000 0.0000
Tl 0.3333 0.6667 0.5000
Tl 0.6667 0.3333 0.5000

The 12 most intense peaks (10 to 90 degrees two-theta), sorted by position:
2theta, d/Å, I/Imax
13.4, 6.586, 57.9
23.4, 3.802, 27.6
30.4, 2.943, 100.0
33.3, 2.687, 69.0
36.1, 2.489, 23.4
38.8, 2.324, 21.0
41.1, 2.194, 39.1
45.7, 1.984, 15.2
49.9, 1.827, 16.8
54.0, 1.699, 29.3
64.9, 1.437, 32.8
68.3, 1.373, 14.2

---

# 4
MgTa2Al: theoretical powder diffraction line list (CuKα), based on the GGA-PBE geometry in OQMD.
Kinematic intensities with the Lorentz-polarization factor, no thermal factor.

Structure:
Cell: 4.6572 4.6572 4.6572 Å, 60.00 60.00 60.00°
Positions (direct):
Mg 0.0000 0.0000 0.0000
Ta 0.2500 0.2500 0.2500
Ta 0.5000 0.5000 0.5000
Al 0.7500 0.7500 0.7500

The 9 most intense peaks (10 to 90 degrees two-theta), sorted by position:
2theta, d/Å, I/Imax
23.4, 3.803, 66.1
38.7, 2.329, 100.0
45.7, 1.986, 34.8
55.8, 1.647, 17.3
61.4, 1.511, 14.7
70.0, 1.344, 35.2
74.9, 1.268, 11.0
82.9, 1.164, 11.2
87.7, 1.113, 11.5

---

# 5
Mg3Ta2Al18: theoretical powder diffraction line list (CuKα), based on the GGA-PBE geometry in OQMD.
Kinematic intensities with the Lorentz-polarization factor, no thermal factor.

Structure:
Cell: 10.4869 10.4869 10.4869 Å, 60.00 60.00 60.00°
Positions (direct):
Mg 0.0000 0.0000 0.0000
Mg 0.0000 0.0000 0.5000
Mg 0.0000 0.5000 0.0000
Mg 0.1250 0.1250 0.1250
Mg 0.5000 0.0000 0.0000
Mg 0.8750 0.8750 0.8750
Ta 0.0000 0.5000 0.5000
Ta 0.5000 0.0000 0.5000
Ta 0.5000 0.5000 0.0000
Ta 0.5000 0.5000 0.5000
Al 0.0581 0.3226 0.3226
Al 0.0581 0.3226 0.7967
Al 0.0581 0.7967 0.3226
Al 0.2033 0.6774 0.6774
Al 0.2033 0.6774 0.9419
Al 0.2033 0.9419 0.6774
Al 0.2328 0.2328 0.5172
Al 0.2328 0.5172 0.2328
Al 0.2328 0.5172 0.5172
Al 0.3226 0.0581 0.3226
Al 0.3226 0.0581 0.7967
Al 0.3226 0.3226 0.0581
Al 0.3226 0.3226 0.7967
Al 0.3226 0.7967 0.0581
Al 0.3226 0.7967 0.3226
Al 0.4828 0.4828 0.7672
Al 0.4828 0.7672 0.4828
Al 0.4828 0.7672 0.7672
Al 0.5172 0.2328 0.2328
Al 0.5172 0.2328 0.5172
Al 0.5172 0.5172 0.2328
Al 0.6774 0.2033 0.6774
Al 0.6774 0.2033 0.9419
Al 0.6774 0.6774 0.2033
Al 0.6774 0.6774 0.9419
Al 0.6774 0.9419 0.2033
Al 0.6774 0.9419 0.6774
Al 0.7672 0.4828 0.4828
Al 0.7672 0.4828 0.7672
Al 0.7672 0.7672 0.4828
Al 0.7967 0.0581 0.3226
Al 0.7967 0.3226 0.0581
Al 0.7967 0.3226 0.3226
Al 0.9419 0.2033 0.6774
Al 0.9419 0.6774 0.2033
Al 0.9419 0.6774 0.6774

The 12 most intense peaks (10 to 90 degrees two-theta), sorted by position:
2theta, d/Å, I/Imax
10.3, 8.563, 100.0
19.9, 4.472, 60.4
20.7, 4.281, 58.6
24.0, 3.708, 33.6
26.2, 3.402, 28.4
34.2, 2.622, 42.6
39.9, 2.262, 46.2
40.3, 2.236, 98.7
42.2, 2.141, 29.7
43.6, 2.077, 42.5
65.4, 1.427, 29.4
72.0, 1.311, 23.2

---

# 6
YTm2Mg4Al2: theoretical powder diffraction line list (CuKα), based on the GGA-PBE geometry in OQMD.
Kinematic intensities with the Lorentz-polarization factor, no thermal factor.

Structure:
Cell: 4.5449 7.4435 7.4435 Å, 120.33 90.00 90.00°
Positions (direct):
Y 0.0000 0.0000 0.0000
Tm 0.0000 0.4361 0.8746
Tm 0.0000 0.8746 0.4361
Mg 0.0000 0.4401 0.4401
Mg 0.5000 0.1884 0.4374
Mg 0.5000 0.4374 0.1884
Mg 0.5000 0.6865 0.6865
Al 0.5000 0.1038 0.7682
Al 0.5000 0.7682 0.1038

The 12 most intense peaks (10 to 90 degrees two-theta), sorted by position:
2theta, d/Å, I/Imax
13.7, 6.452, 50.3
19.5, 4.545, 53.4
23.9, 3.718, 47.5
27.8, 3.212, 48.4
31.1, 2.876, 100.0
34.1, 2.632, 44.5
34.2, 2.623, 99.1
36.9, 2.436, 35.3
39.7, 2.272, 29.8
55.3, 1.661, 38.4
55.4, 1.657, 23.7
66.7, 1.403, 21.8

---

# 7
Mg6Zr2Al: theoretical powder diffraction line list (CuKα), based on the GGA-PBE geometry in OQMD.
Kinematic intensities with the Lorentz-polarization factor, no thermal factor.

Structure:
Cell: 8.8065 8.8065 2.9262 Å, 90.00 90.00 120.00°
Positions (direct):
Mg 0.0000 0.2948 0.0000
Mg 0.0000 0.6494 0.5000
Mg 0.2948 0.0000 0.0000
Mg 0.3506 0.3506 0.5000
Mg 0.6494 0.0000 0.5000
Mg 0.7052 0.7052 0.0000
Zr 0.3333 0.6667 0.0000
Zr 0.6667 0.3333 0.0000
Al 0.0000 0.0000 0.5000

The 12 most intense peaks (10 to 90 degrees two-theta), sorted by position:
2theta, d/Å, I/Imax
11.6, 7.627, 39.0
20.2, 4.403, 66.3
31.0, 2.883, 16.4
32.8, 2.732, 21.4
35.3, 2.542, 100.0
36.9, 2.437, 61.0
38.8, 2.321, 27.1
44.1, 2.054, 29.7
52.0, 1.759, 20.6
61.8, 1.502, 16.8
64.4, 1.447, 21.6
74.9, 1.268, 20.5

---

# 8
Al22Mo5: theoretical powder diffraction line list (CuKα), based on the GGA-PBE geometry in OQMD.
Kinematic intensities with the Lorentz-polarization factor, no thermal factor.

Structure:
Cell: 37.0289 5.2159 37.2308 Å, 83.76 8.05 88.19°
Positions (direct):
Al 0.0888 0.4112 0.0941
Al 0.1068 0.5447 0.4107
Al 0.1182 0.9614 0.1261
Al 0.1239 0.4558 0.1318
Al 0.1394 0.8565 0.4340
Al 0.1559 0.8441 0.1612
Al 0.1968 0.9791 0.9708
Al 0.2244 0.2670 0.8132
Al 0.2458 0.4063 0.3484
Al 0.2480 0.7319 0.4007
Al 0.2506 0.9016 0.8437
Al 0.2670 0.2244 0.6954
Al 0.2792 0.3967 0.0532
Al 0.3122 0.8393 0.7053
Al 0.3882 0.7962 0.5562
Al 0.3967 0.2792 0.2709
Al 0.4063 0.2458 0.9994
Al 0.4112 0.0888 0.4059
Al 0.4278 0.7211 0.4436
Al 0.4368 0.5546 0.0256
Al 0.4558 0.1239 0.2886
Al 0.4783 0.6448 0.3132
Al 0.5447 0.1068 0.9378
Al 0.5546 0.4368 0.9830
Al 0.6306 0.8493 0.5181
Al 0.6448 0.4783 0.5636
Al 0.6799 0.8160 0.3935
Al 0.6864 0.9368 0.6052
Al 0.6938 0.9906 0.8618
Al 0.7211 0.4278 0.4075
Al 0.7319 0.2480 0.6194
Al 0.7962 0.3882 0.2594
Al 0.8064 0.8425 0.8222
Al 0.8160 0.6799 0.1106
Al 0.8393 0.3122 0.1432
Al 0.8425 0.8064 0.5289
Al 0.8441 0.1559 0.8388
Al 0.8493 0.6306 0.0020
Al 0.8565 0.1394 0.5701
Al 0.9016 0.2506 0.0042
Al 0.9368 0.6864 0.7717
Al 0.9614 0.1182 0.7942
Al 0.9791 0.1968 0.8533
Al 0.9906 0.6938 0.4538
Mo 0.1591 0.3380 0.9505
Mo 0.2995 0.6976 0.0909
Mo 0.3380 0.1591 0.5524
Mo 0.4079 0.6157 0.3102
Mo 0.5837 0.9398 0.6343
Mo 0.6157 0.4079 0.6663
Mo 0.6976 0.2995 0.9120
Mo 0.7481 0.7481 0.2519
Mo 0.9398 0.5837 0.8421
Mo 0.9981 0.9981 0.5019

The 12 most intense peaks (10 to 90 degrees two-theta), sorted by position:
2theta, d/Å, I/Imax
21.3, 4.175, 21.5
22.1, 4.024, 36.8
24.1, 3.688, 28.5
24.4, 3.653, 22.9
25.7, 3.460, 31.6
36.8, 2.445, 38.9
38.9, 2.317, 24.7
40.5, 2.229, 27.1
41.0, 2.199, 46.6
41.8, 2.162, 100.0
42.2, 2.143, 37.4
43.3, 2.092, 51.1

---

# 9
AlMo: theoretical powder diffraction line list (CuKα), based on the GGA-PBE geometry in OQMD.
Kinematic intensities with the Lorentz-polarization factor, no thermal factor.

Structure:
Cell: 4.4050 4.4050 4.4050 Å, 60.00 60.00 60.00°
Positions (direct):
Al 0.1250 0.1250 0.1250
Al 0.8750 0.8750 0.8750
Mo 0.3750 0.3750 0.3750
Mo 0.6250 0.6250 0.6250

The 8 most intense peaks (10 to 90 degrees two-theta), sorted by position:
2theta, d/Å, I/Imax
24.8, 3.597, 41.5
41.0, 2.203, 100.0
48.5, 1.878, 19.5
59.3, 1.557, 16.2
65.3, 1.429, 7.7
74.6, 1.272, 33.0
80.0, 1.199, 6.0
88.9, 1.101, 11.0